The following is a calculated X-ray diffraction stick pattern of ZnP4H16N2O16. It was derived from a structure optimized by DFT (PBE), using λ = 1.5418 Å (Cu Kα).
Lines closer than 0.1° are merged.

Top 10 peaks for 10° ≤ 2θ ≤ 90°, by intensity:
| hkl | 2theta | I (rel.) |
| --- | --- | --- |
| 0 1 1 | 18.57 | 100 |
| 0 2 -1 | 25.34 | 87 |
| 1 0 0 | 13.05 | 72 |
| 0 0 1 | 12.11 | 63 |
| 2 1 -1 | 27.78 | 47 |
| 0 2 0 | 24.35 | 42 |
| 2 -1 0 | 28.26 | 36 |
| 0 1 -1 | 15.62 | 35 |
| 2 -1 1 | 33.40 | 32 |
| 1 0 -1 | 14.65 | 31 |

Structure:
```
data_ZnP4H16N2O16
_cell_length_a 7.175
_cell_length_b 7.427
_cell_length_c 7.817
_cell_angle_alpha 99.07
_cell_angle_beta 108.64
_cell_angle_gamma 90.63
_space_group_name_H-M_alt 'P -1'
_space_group_IT_number 2
_space_group_name_Hall '-P 1'
loop_
_atom_site_label
_atom_site_fract_x
_atom_site_fract_y
_atom_site_fract_z
_atom_site_occupancy
Zn1 0.000 0.000 0.000 1
P1 0.168 0.250 0.744 1
P2 0.242 0.719 0.259 1
H1 0.122 0.202 0.350 1
H2 0.122 0.334 0.207 1
H3 0.240 0.482 0.981 1
H4 0.323 0.902 0.828 1
H5 0.345 0.674 0.813 1
H6 0.421 0.788 0.674 1
H7 0.439 0.227 0.577 1
H8 0.451 0.180 0.098 1
N1 0.410 0.796 0.804 1
O1 0.060 0.219 0.221 1
O2 0.068 0.740 0.350 1
O3 0.205 0.119 0.882 1
O4 0.228 0.522 0.161 1
O5 0.237 0.863 0.142 1
O6 0.242 0.199 0.584 1
O7 0.252 0.449 0.847 1
O8 0.424 0.754 0.441 1
```

=====

The following is a calculated X-ray diffraction stick pattern of UTcP2Ru. It was derived from a structure optimized by DFT (PBE), using λ = 1.5418 Å (Cu Kα).
Lines closer than 0.1° are merged.

Top 10 peaks for 10° ≤ 2θ ≤ 90°, by intensity:
| hkl | 2theta | I (rel.) |
| --- | --- | --- |
| 1 1 2 | 36.41 | 100 |
| 1 0 1 | 23.70 | 51 |
| 1 0 3 | 35.95 | 40 |
| 2 0 0 | 44.29 | 37 |
| 3 1 2 | 76.32 | 24 |
| 2 1 3 | 58.31 | 20 |
| 2 0 4 | 59.76 | 18 |
| 0 0 4 | 38.03 | 16 |
| 1 1 6 | 67.65 | 16 |
| 2 1 1 | 50.84 | 15 |

Structure:
```
data_UTcP2Ru
_cell_length_a 4.090
_cell_length_b 4.090
_cell_length_c 9.466
_cell_angle_alpha 90.00
_cell_angle_beta 90.00
_cell_angle_gamma 90.00
_space_group_name_H-M_alt 'I -4 m 2'
_space_group_IT_number 119
_space_group_name_Hall 'I -4 -2'
loop_
_atom_site_label
_atom_site_fract_x
_atom_site_fract_y
_atom_site_fract_z
_atom_site_occupancy
U1 0.000 0.000 0.000 1
Tc1 0.000 0.500 0.250 1
P1 0.000 0.000 0.377 1
Ru1 0.000 0.500 0.750 1
```

=====

The following is a calculated X-ray diffraction stick pattern of Sr2Al2CdPt5. It was derived from a structure optimized by DFT (PBE), using λ = 1.5418 Å (Cu Kα).
Lines closer than 0.1° are merged.

Top 10 peaks for 10° ≤ 2θ ≤ 90°, by intensity:
| hkl | 2theta | I (rel.) |
| --- | --- | --- |
| 3 1 1 | 36.98 | 100 |
| 4 1 0 | 35.78 | 65 |
| 3 2 1 | 40.05 | 44 |
| 2 2 1 | 34.81 | 38 |
| 0 0 1 | 24.52 | 37 |
| 2 1 1 | 31.32 | 37 |
| 4 2 0 | 38.93 | 31 |
| 7 1 1 | 69.22 | 28 |
| 0 0 2 | 50.26 | 25 |
| 4 1 2 | 63.22 | 25 |

Structure:
```
data_Sr2Al2CdPt5
_cell_length_a 10.347
_cell_length_b 10.347
_cell_length_c 3.631
_cell_angle_alpha 90.00
_cell_angle_beta 90.00
_cell_angle_gamma 90.00
_space_group_name_H-M_alt 'P 4/m b m'
_space_group_IT_number 127
_space_group_name_Hall '-P 4 2ab'
loop_
_atom_site_label
_atom_site_fract_x
_atom_site_fract_y
_atom_site_fract_z
_atom_site_occupancy
Sr1 0.178 0.322 0.000 1
Al1 0.121 0.621 0.000 1
Cd1 0.000 0.000 0.000 1
Pt1 0.000 0.500 0.500 1
Pt2 0.063 0.785 0.500 1
```

=====

What is the formula in the third record? Sr2Al2CdPt5